Starting from a DFT-relaxed cell (GGA-PBE, the Materials Project), the powder diffractogram of Ba2ErCl7 was simulated for λ = 1.5418 Å (Cu Kα).

Cell and atoms:
Cell lengths 6.918, 15.745, 10.664 Å; angles 90.00, 90.69, 90.00 degrees
Space group P2_1/c (No. 14)
Unique sites:
Ba 0.235 0.061 0.324
Ba 0.235 0.720 0.451
Er 0.283 0.127 0.782
Cl 0.012 0.243 0.302
Cl 0.014 0.105 0.587
Cl 0.206 0.539 0.287
Cl 0.210 0.140 0.027
Cl 0.372 0.571 0.624
Cl 0.498 0.228 0.295
Cl 0.499 0.104 0.572

Top 10 peaks for 2θ from 5° to 70°, by angle:
Position (°2θ), I/Imax, hkl
18.9, 21, 0 3 1
21.2, 100, 1 3 0
21.7, 42, 1 1 -2
21.9, 24, 1 1 2
22.9, 21, 1 3 1
25.8, 28, 2 0 0
34.1, 41, 0 1 4
35.2, 38, 0 6 1
35.5, 36, 2 3 2
37.8, 25, 2 2 -3

---

Starting from a DFT-relaxed cell (GGA-PBE, the Materials Project), the powder diffractogram of Ba2EuCl7 was simulated for λ = 1.5418 Å (Cu Kα).

Cell and atoms:
Cell lengths 7.046, 15.769, 10.752 Å; angles 90.00, 91.27, 90.00 degrees
Space group P2_1/c (No. 14)
Unique sites:
Ba 0.228 0.062 0.328
Ba 0.229 0.722 0.448
Eu 0.286 0.126 0.785
Cl 0.008 0.104 0.582
Cl 0.008 0.241 0.306
Cl 0.196 0.544 0.291
Cl 0.209 0.141 0.036
Cl 0.358 0.570 0.623
Cl 0.496 0.725 0.204
Cl 0.498 0.604 0.930

Top 10 peaks for 2θ from 5° to 70°, by angle:
Position (°2θ), I/Imax, hkl
21.1, 100, 1 3 0
21.3, 39, 1 1 -2
21.8, 21, 1 1 2
22.8, 19, 1 3 1
25.3, 26, 2 0 0
32.7, 20, 2 2 2
33.8, 43, 0 1 4
35.2, 58, 2 3 2
37.4, 20, 1 2 -4
37.9, 25, 2 4 -2

---

Starting from a DFT-relaxed cell (GGA-PBE, the Materials Project), the powder diffractogram of Ba12Cl5F19 was simulated for λ = 1.5418 Å (Cu Kα).

Cell and atoms:
Cell lengths 14.2917, 14.2917, 4.3291 Å; angles 90.00, 90.00, 120.00 degrees
Space group P-62m (No. 189)
Unique sites:
Ba 0.0000 0.1777 0.0000
Ba 0.0000 0.6259 0.0000
Ba 0.1671 0.4750 0.5000
Cl 0.0000 0.8117 0.5000
Cl 0.3333 0.6667 0.0000
F 0.0000 0.0000 0.0000
F 0.0000 0.2794 0.5000
F 0.0000 0.4390 0.0000
F 0.1257 0.6371 0.5000
F 0.1827 0.3756 0.0000

Top 10 peaks for 2θ from 5° to 70°, by angle:
Position (°2θ), I/Imax, hkl
24.0, 25, 1 1 1
24.9, 100, 2 2 0
28.1, 96, 2 1 1
29.9, 27, 3 0 1
33.3, 36, 3 1 1
41.7, 28, 0 0 2
42.0, 38, 5 0 1
43.9, 29, 6 0 0
49.2, 33, 2 2 2
49.5, 41, 4 3 1

---

Starting from a DFT-relaxed cell (GGA-PBE, the Materials Project), the powder diffractogram of Ba7Cl2F12 was simulated for λ = 1.5418 Å (Cu Kα).

Cell and atoms:
Cell lengths 10.7995, 10.7995, 4.2355 Å; angles 90.00, 90.00, 120.00 degrees
Space group P-6 (No. 174)
Unique sites:
Ba 0.0000 0.0000 0.0000
Ba 0.1124 0.3999 0.5000
Ba 0.4109 0.3022 0.0000
Cl 0.3333 0.6667 0.0000
Cl 0.6667 0.3333 0.5000
F 0.0483 0.6114 0.5000
F 0.1211 0.8447 0.0000
F 0.2148 0.0957 0.5000
F 0.4301 0.0637 0.0000

Top 10 peaks for 2θ from 5° to 70°, by angle:
Position (°2θ), I/Imax, hkl
23.1, 26, 1 0 1
25.2, 100, 1 2 0
26.8, 55, 1 1 1
28.4, 41, 2 0 1
33.0, 44, 2 1 1
40.8, 38, 3 1 1
44.2, 22, 4 0 1
44.4, 31, 4 1 0
47.5, 35, 2 3 1
50.2, 31, 1 2 2

---

Starting from a DFT-relaxed cell (GGA-PBE, the Materials Project), the powder diffractogram of Ba2Cl2F was simulated for λ = 1.5418 Å (Cu Kα).

Cell and atoms:
Cell lengths 6.311, 6.311, 14.334 Å; angles 90.00, 90.00, 90.00 degrees
Space group P4/mmm (No. 123)
Unique sites:
Ba 0.000 0.000 0.175
Cl 0.000 0.000 0.364
F 0.000 0.000 0.000

Top 10 peaks for 2θ from 5° to 70°, by angle:
Position (°2θ), I/Imax, hkl
6.2, 17, 0 0 1
14.0, 100, 1 0 0
18.7, 16, 1 0 2
19.9, 45, 1 1 0
23.4, 14, 1 0 3
28.3, 18, 2 0 0
31.7, 27, 2 1 0
34.1, 13, 2 0 3
40.4, 16, 2 2 0
43.0, 14, 3 0 0

---

Starting from a DFT-relaxed cell (GGA-PBE, the Materials Project), the powder diffractogram of Ba3SrCl4F4 was simulated for λ = 1.5418 Å (Cu Kα).

Cell and atoms:
Cell lengths 4.388, 4.388, 14.573 Å; angles 90.00, 90.00, 90.00 degrees
Space group P4mm (No. 99)
Unique sites:
Ba 0.000 0.000 0.000
Ba 0.000 0.000 0.490
Ba 0.500 0.500 0.789
Sr 0.500 0.500 0.293
Cl 0.000 0.000 0.221
Cl 0.000 0.000 0.712
Cl 0.500 0.500 0.078
Cl 0.500 0.500 0.564
F 0.000 0.500 0.385
F 0.000 0.500 0.894

Top 10 peaks for 2θ from 5° to 70°, by angle:
Position (°2θ), I/Imax, hkl
23.7, 100, 1 0 2
24.4, 25, 0 0 4
28.8, 78, 1 1 0
31.9, 63, 1 0 4
38.1, 65, 1 1 4
41.1, 48, 2 0 0
42.5, 24, 1 0 6
48.0, 32, 2 1 2
53.0, 28, 2 1 4
54.5, 20, 1 0 8